For Li4Mn2Ni3Sb3O16, a cell relaxed with PBE+U gives the simulated powder diffraction line list in this record (Cu Ka).
Lines closer than 0.1° are merged.

Top 8 peaks for 15 to 90 degrees two-theta, sorted by position:
18.31 deg, rel. 1000; 18.90 deg, rel. 717; 19.34 deg, rel. 233; 34.19 deg, rel. 246; 35.00 deg, rel. 430; 35.46 deg, rel. 328; 43.74 deg, rel. 290; 61.06 deg, rel. 261

a = 6.076 Å, b = 6.076 Å, c = 9.700 Å
α = 92.43°, β = 92.43°, γ = 60.40°
Fractional coordinates of all 28 atoms:
Li1 0.000 0.000 0.000
Li2 0.011 0.011 0.520
Li3 0.314 0.314 0.612
Li4 0.655 0.655 0.097
Mn1 0.309 0.309 0.002
Mn2 0.632 0.632 0.530
Ni1 0.153 0.153 0.288
Ni2 0.317 0.810 0.790
Ni3 0.810 0.317 0.790
Sb1 0.149 0.645 0.290
Sb2 0.645 0.149 0.290
Sb3 0.811 0.811 0.791
O1 0.011 0.473 0.170
O2 0.135 0.657 0.904
O3 0.154 0.154 0.902
O4 0.313 0.808 0.406
O5 0.323 0.323 0.403
O6 0.463 0.463 0.166
O7 0.473 0.011 0.170
O8 0.500 0.500 0.651
O9 0.508 0.931 0.649
O10 0.654 0.654 0.895
O11 0.657 0.135 0.904
O12 0.808 0.313 0.406
O13 0.831 0.831 0.405
O14 0.931 0.508 0.649
O15 0.972 0.972 0.695
O16 0.978 0.978 0.189